Structure and calculated powder X-ray diffraction pattern of Tl2PO4 (a structure optimized by DFT (GGA-PBE); Cu Kα (weighted mean of Kα1 and Kα2)).
Neutral-atom scattering factors, no anomalous dispersion.

Structural model:
Unit cell a=7.689 b=5.765 c=10.273 alpha=90.00 beta=90.00 gamma=90.00
Space group Pnma (No. 62)
Unique sites:
Tl1 0.015 0.250 0.195 x4
Tl2 0.157 0.750 0.414 x4
P1 0.191 0.750 0.078 x4
O1 0.009 0.250 0.920 x4
O2 0.239 0.024 0.647 x8
O3 0.244 0.250 0.432 x4

Peak list (10 most intense, 10 to 90 degrees two-theta, low angle first)
d (Å)  two_theta  I_rel  index
4.208  21.11  43.3  1 1 1
3.432  25.96  100.0  1 1 2
3.198  27.89  28.0  2 1 0
3.078  29.01  35.6  2 0 2
3.054  29.24  94.7  2 1 1
2.944  30.36  95.3  0 1 3
2.882  31.03  75.3  0 2 0
2.487  36.12  28.5  3 0 1
2.104  42.99  29.4  2 2 2
1.731  52.91  42.0  3 1 4